This entry pairs a crystal structure of Li5AlPd8 with its computed X-ray diffraction stick pattern. Radiation: Cu Kα (weighted mean of Kα1 and Kα2). Structure: a GGA-PBE-relaxed structure.
Lines closer than 0.1° are merged.

Cell and atoms:
Lattice parameters (Å, degrees): 6.385 6.385 6.385 110.08 110.08 108.25
Sites, in units of the cell vectors:
Li 0.000 0.000 0.000
Li 0.286 0.184 0.649
Li 0.364 0.714 0.899
Li 0.535 0.636 0.351
Li 0.816 0.465 0.101
Al 0.750 0.250 0.500
Pd 0.012 0.755 0.598
Pd 0.084 0.342 0.902
Pd 0.157 0.414 0.402
Pd 0.245 0.843 0.257
Pd 0.441 0.183 0.098
Pd 0.586 0.988 0.743
Pd 0.658 0.559 0.742
Pd 0.817 0.916 0.258

Most intense lines, 15° ≤ 2θ ≤ 90°, in order of falling intensity:
d 2.998, I 100; d 2.316, I 82; d 2.361, I 44; d 1.968, I 44; d 1.984, I 39; d 1.959, I 37

***

This entry pairs a crystal structure of LiAl6Pd12 with its computed X-ray diffraction stick pattern. Radiation: Cu Kα (weighted mean of Kα1 and Kα2). Structure: a GGA-PBE-relaxed structure.
Lines closer than 0.1° are merged.

Cell and atoms:
Lattice parameters (Å, degrees): 7.275 7.275 7.275 110.60 110.60 110.60
Sites, in units of the cell vectors:
Li 0.000 0.000 0.000
Al 0.067 0.577 0.354
Al 0.354 0.067 0.577
Al 0.423 0.646 0.933
Al 0.577 0.354 0.067
Al 0.646 0.933 0.423
Al 0.933 0.423 0.646
Pd 0.098 0.170 0.730
Pd 0.170 0.730 0.098
Pd 0.198 0.343 0.476
Pd 0.270 0.902 0.830
Pd 0.343 0.476 0.198
Pd 0.476 0.198 0.343
Pd 0.524 0.802 0.657
Pd 0.657 0.524 0.802
Pd 0.730 0.098 0.169
Pd 0.802 0.657 0.524
Pd 0.831 0.270 0.902
Pd 0.902 0.831 0.270

Most intense lines, 15° ≤ 2θ ≤ 90°, in order of falling intensity:
d 2.246, I 100; d 1.954, I 66; d 2.287, I 39; d 3.401, I 22; d 1.391, I 21; d 1.177, I 20

***

This entry pairs a crystal structure of LiAl4Pd7 with its computed X-ray diffraction stick pattern. Radiation: Cu Kα (weighted mean of Kα1 and Kα2). Structure: a GGA-PBE-relaxed structure.
Lines closer than 0.1° are merged.

Cell and atoms:
Lattice parameters (Å, degrees): 6.382 6.382 9.094 125.14 125.14 40.14
Sites, in units of the cell vectors:
Li 0.000 0.000 0.000
Al 0.289 0.289 0.658
Al 0.422 0.422 0.209
Al 0.578 0.578 0.791
Al 0.711 0.711 0.342
Pd 0.076 0.076 0.325
Pd 0.216 0.216 0.863
Pd 0.355 0.355 0.423
Pd 0.500 0.500 0.000
Pd 0.645 0.645 0.577
Pd 0.784 0.784 0.137
Pd 0.924 0.924 0.675

Most intense lines, 15° ≤ 2θ ≤ 90°, in order of falling intensity:
d 3.090, I 100; d 2.105, I 62; d 2.063, I 55; d 2.821, I 43; d 2.190, I 37; d 2.180, I 29

***

What is the formula in the second record?
LiAl6Pd12

***

What is the formula in the third record?
LiAl4Pd7